# 1
The following is a simulated powder diffraction line list of K2ZnCl4. It was derived from DFT lattice parameters and positions (GGA-PBE), using CuKα.

Structure:
```
K2ZnCl4
1.0
9.0521 0.0000 0.0000
0.0000 7.4005 0.0000
0.0000 0.0000 12.7451
K Zn Cl
8 4 16
direct
0.0051 0.2500 0.1859
0.1324 0.7500 0.4151
0.3676 0.2500 0.9151
0.4949 0.7500 0.6859
0.5051 0.2500 0.3141
0.6324 0.7500 0.0849
0.8676 0.2500 0.5849
0.9949 0.7500 0.8141
0.2186 0.7500 0.0810
0.2814 0.2500 0.5810
0.7186 0.7500 0.4190
0.7814 0.2500 0.9190
0.0296 0.2500 0.9345
0.1667 0.2500 0.4193
0.1964 0.0010 0.6686
0.1964 0.4990 0.6686
0.3036 0.5010 0.1686
0.3036 0.9990 0.1686
0.3333 0.7500 0.9193
0.4704 0.7500 0.4345
0.5296 0.2500 0.5655
0.6667 0.2500 0.0807
0.6964 0.0010 0.8314
0.6964 0.4990 0.8314
0.8036 0.5010 0.3314
0.8036 0.9990 0.3314
0.8333 0.7500 0.5807
0.9704 0.7500 0.0655
```

Main lines, in order of rising 2θ (2θ from 5° to 70°):
5.220 Å, I = 1000; 3.699 Å, I = 753; 3.684 Å, I = 679; 3.200 Å, I = 372; 2.728 Å, I = 587; 1.886 Å, I = 303

# 2
The following is a simulated powder diffraction line list of K2ZnCl4. It was derived from DFT lattice parameters and positions (GGA-PBE), using CuKα.

Structure:
```
K2ZnCl4
1.0
9.0479 0.0000 0.0000
0.0000 12.6815 0.0000
0.0000 0.0000 7.3978
K Zn Cl
8 4 16
direct
0.0048 0.1861 0.0000
0.1324 0.4165 0.4954
0.3676 0.9165 0.9954
0.4952 0.6861 0.5000
0.5048 0.3139 0.0000
0.6324 0.0835 0.4954
0.8676 0.5835 0.9954
0.9952 0.8139 0.5000
0.2180 0.0829 0.5049
0.2820 0.5829 0.0049
0.7180 0.4171 0.5049
0.7820 0.9171 0.0049
0.0294 0.9383 0.0195
0.1613 0.4235 0.0156
0.1989 0.6752 0.7615
0.2044 0.6752 0.2534
0.2956 0.1752 0.7534
0.3011 0.1752 0.2615
0.3387 0.9235 0.5156
0.4706 0.4383 0.5195
0.5294 0.5617 0.0195
0.6613 0.0765 0.0156
0.6989 0.8248 0.7615
0.7044 0.8248 0.2534
0.7956 0.3248 0.7534
0.8011 0.3248 0.2615
0.8387 0.5765 0.5156
0.9706 0.0617 0.5195
```

Main lines, in order of rising 2θ (2θ from 5° to 70°):
5.209 Å, I = 1000; 3.697 Å, I = 765; 3.670 Å, I = 673; 3.195 Å, I = 417; 2.793 Å, I = 286; 2.726 Å, I = 587

# 3
The following is a simulated powder diffraction line list of K2Zr7Cl18. It was derived from DFT lattice parameters and positions (GGA-PBE), using CuKα.

Structure:
```
K2Zr7Cl18
1.0
4.8437 2.7965 8.7571
-4.8437 2.7965 8.7571
0.0000 -5.5931 8.7571
K Zr Cl
2 7 18
direct
0.2235 0.2235 0.2235
0.7765 0.7765 0.7765
0.0986 0.8372 0.2104
0.1628 0.7896 0.9014
0.2104 0.0986 0.8372
0.5000 0.5000 0.5000
0.7896 0.9014 0.1628
0.8372 0.2104 0.0986
0.9014 0.1628 0.7896
0.0568 0.3480 0.9314
0.0686 0.9432 0.6520
0.1329 0.2842 0.5758
0.2187 0.6403 0.4757
0.2842 0.5758 0.1329
0.3480 0.9314 0.0568
0.3597 0.5243 0.7813
0.4242 0.8671 0.7158
0.4757 0.2187 0.6403
0.5243 0.7813 0.3597
0.5758 0.1329 0.2842
0.6403 0.4757 0.2187
0.6520 0.0686 0.9432
0.7158 0.4242 0.8671
0.7813 0.3597 0.5243
0.8671 0.7158 0.4242
0.9314 0.0568 0.3480
0.9432 0.6520 0.0686
```

Main lines, in order of rising 2θ (2θ from 5° to 70°):
7.992 Å, I = 331; 7.071 Å, I = 1000; 4.239 Å, I = 252; 2.715 Å, I = 839; 2.281 Å, I = 390; 1.831 Å, I = 395

# 4
The following is a simulated powder diffraction line list of Na2LiLaCl6. It was derived from DFT lattice parameters and positions (GGA-PBE), using CuKα.

Structure:
```
Na2LiLaCl6
1.0
0.0000 5.2773 5.2773
5.2773 0.0000 5.2773
5.2773 5.2773 0.0000
Na Li La Cl
2 1 1 6
direct
0.2500 0.2500 0.2500
0.7500 0.7500 0.7500
0.0000 0.0000 0.0000
0.5000 0.5000 0.5000
0.2398 0.2398 0.7602
0.2398 0.7602 0.2398
0.2398 0.7602 0.7602
0.7602 0.2398 0.2398
0.7602 0.2398 0.7602
0.7602 0.7602 0.2398
```

Main lines, in order of rising 2θ (2θ from 5° to 70°):
6.094 Å, I = 836; 5.277 Å, I = 1000; 3.182 Å, I = 734; 2.639 Å, I = 973; 2.360 Å, I = 452; 1.866 Å, I = 632

# 5
The following is a simulated powder diffraction line list of Rb2LiLaCl6. It was derived from DFT lattice parameters and positions (GGA-PBE), using CuKα.

Structure:
```
Rb2LiLaCl6
1.0
0.0000 5.3648 5.3648
5.3648 0.0000 5.3648
5.3648 5.3648 0.0000
Rb Li La Cl
2 1 1 6
direct
0.2500 0.2500 0.2500
0.7500 0.7500 0.7500
0.0000 0.0000 0.0000
0.5000 0.5000 0.5000
0.2421 0.2421 0.7579
0.2421 0.7579 0.2421
0.2421 0.7579 0.7579
0.7579 0.2421 0.2421
0.7579 0.2421 0.7579
0.7579 0.7579 0.2421
```

Main lines, in order of rising 2θ (2θ from 5° to 70°):
6.195 Å, I = 511; 3.793 Å, I = 1000; 3.097 Å, I = 436; 2.682 Å, I = 973; 2.190 Å, I = 464; 1.897 Å, I = 651

# 6
The following is a simulated powder diffraction line list of La2NCl3. It was derived from DFT lattice parameters and positions (GGA-PBE), using CuKα.

Structure:
```
La2NCl3
1.0
-3.4930 6.9476 3.1074
3.4930 -6.9476 3.1074
3.4930 6.9476 -3.1074
La N Cl
4 2 6
direct
0.0935 0.1763 0.2698
0.4065 0.6763 0.0828
0.5935 0.3237 0.9172
0.9065 0.8237 0.7302
0.2500 0.2500 0.0000
0.7500 0.7500 0.0000
0.1983 0.8136 0.0119
0.2500 0.7500 0.5000
0.3017 0.3136 0.6153
0.6983 0.6864 0.3847
0.7500 0.2500 0.5000
0.8017 0.1864 0.9881
```

Main lines, in order of rising 2θ (2θ from 5° to 70°):
6.242 Å, I = 330; 3.861 Å, I = 1000; 3.107 Å, I = 349; 2.782 Å, I = 881; 2.544 Å, I = 547; 2.319 Å, I = 415

# 7
The following is a simulated powder diffraction line list of La6S4N3Cl. It was derived from DFT lattice parameters and positions (GGA-PBE), using CuKα.

Structure:
```
La6S4N3Cl
1.0
11.9153 0.0000 0.0000
0.0000 4.1185 0.0000
0.0000 0.0000 27.2314
La S N Cl
24 16 12 4
direct
0.0547 0.2500 0.1898
0.0581 0.2500 0.9260
0.0909 0.2500 0.4596
0.1154 0.2500 0.7058
0.2328 0.7500 0.5650
0.2379 0.7500 0.8300
0.2621 0.2500 0.3300
0.2672 0.2500 0.0650
0.3846 0.7500 0.2058
0.4091 0.7500 0.9596
0.4419 0.7500 0.4260
0.4453 0.7500 0.6898
0.5547 0.2500 0.3102
0.5581 0.2500 0.5740
0.5909 0.2500 0.0404
0.6154 0.2500 0.7942
0.7328 0.7500 0.9350
0.7379 0.7500 0.6700
0.7621 0.2500 0.1700
0.7672 0.2500 0.4350
0.8846 0.7500 0.2942
0.9091 0.7500 0.5404
0.9419 0.7500 0.0740
0.9453 0.7500 0.8102
0.0446 0.7500 0.6361
0.1473 0.7500 0.0054
0.1808 0.7500 0.1389
0.2137 0.7500 0.3959
0.2863 0.2500 0.8959
0.3192 0.2500 0.6389
0.3527 0.2500 0.5054
0.4554 0.2500 0.1361
0.5446 0.7500 0.8639
0.6473 0.7500 0.4946
0.6808 0.7500 0.3611
0.7137 0.7500 0.1041
0.7863 0.2500 0.6041
0.8192 0.2500 0.8611
0.8527 0.2500 0.9946
0.9554 0.2500 0.3639
0.0639 0.7500 0.8752
0.0965 0.7500 0.5106
0.1108 0.7500 0.7612
0.3892 0.2500 0.2612
0.4035 0.2500 0.0106
0.4361 0.2500 0.3752
0.5639 0.7500 0.6248
0.5965 0.7500 0.9894
0.6108 0.7500 0.7388
0.8892 0.2500 0.2388
0.9035 0.2500 0.4894
0.9361 0.2500 0.1248
0.1357 0.7500 0.2654
0.3643 0.2500 0.7654
0.6357 0.7500 0.2346
0.8643 0.2500 0.7346
```

Main lines, in order of rising 2θ (2θ from 5° to 70°):
3.431 Å, I = 981; 3.380 Å, I = 1000; 3.169 Å, I = 349; 2.728 Å, I = 288; 2.402 Å, I = 404; 1.766 Å, I = 298

# 8
The following is a simulated powder diffraction line list of La4S3NCl3. It was derived from DFT lattice parameters and positions (GGA-PBE), using CuKα.

Structure:
```
La4S3NCl3
1.0
9.4753 0.0000 0.0000
-4.7377 8.2059 0.0000
0.0000 0.0000 7.0324
La S N Cl
8 6 2 6
direct
0.2014 0.4027 0.0000
0.2014 0.7986 0.0000
0.3333 0.6667 0.4602
0.4027 0.2014 0.5000
0.5973 0.7986 0.0000
0.6667 0.3333 0.9602
0.7986 0.2014 0.5000
0.7986 0.5973 0.5000
0.0635 0.5317 0.7210
0.4683 0.5317 0.7210
0.4683 0.9365 0.7210
0.5317 0.0635 0.2210
0.5317 0.4683 0.2210
0.9365 0.4683 0.2210
0.3333 0.6667 0.1148
0.6667 0.3333 0.6148
0.1319 0.2638 0.3914
0.1319 0.8681 0.3914
0.2638 0.1319 0.8914
0.7362 0.8681 0.3914
0.8681 0.1319 0.8914
0.8681 0.7362 0.8914
```

Main lines, in order of rising 2θ (2θ from 5° to 70°):
3.544 Å, I = 1000; 3.516 Å, I = 342; 2.838 Å, I = 343; 2.670 Å, I = 508; 2.549 Å, I = 533; 2.369 Å, I = 342

# 9
The following is a simulated powder diffraction line list of LaNb2ClO6. It was derived from DFT lattice parameters and positions (GGA-PBE), using CuKα.

Structure:
```
LaNb2ClO6
1.0
9.9573 0.0000 0.0000
0.0000 7.4082 0.0000
0.0000 0.0000 8.4379
La Nb Cl O
4 8 4 24
direct
0.1776 0.2500 0.1900
0.3224 0.7500 0.6900
0.6776 0.2500 0.3100
0.8224 0.7500 0.8100
0.0000 0.0000 0.5000
0.0000 0.5000 0.5000
0.2357 0.7500 0.2322
0.2643 0.2500 0.7322
0.5000 0.0000 0.0000
0.5000 0.5000 0.0000
0.7357 0.7500 0.2678
0.7643 0.2500 0.7678
0.1052 0.7500 0.9267
0.3948 0.2500 0.4267
0.6052 0.7500 0.5733
0.8948 0.2500 0.0733
0.0032 0.7500 0.5799
0.1041 0.5549 0.2999
0.1041 0.9451 0.2999
0.1708 0.2500 0.9158
0.1738 0.0483 0.6147
0.1738 0.4517 0.6147
0.3262 0.5483 0.1147
0.3262 0.9517 0.1147
0.3292 0.7500 0.4158
0.3959 0.0549 0.7999
0.3959 0.4451 0.7999
0.4968 0.2500 0.0799
0.5032 0.7500 0.9201
0.6041 0.5549 0.2001
0.6041 0.9451 0.2001
0.6708 0.2500 0.5842
0.6738 0.0483 0.8853
0.6738 0.4517 0.8853
0.8262 0.5483 0.3853
0.8262 0.9517 0.3853
0.8292 0.7500 0.0842
0.8959 0.0549 0.7001
0.8959 0.4451 0.7001
0.9968 0.2500 0.4201
```

Main lines, in order of rising 2θ (2θ from 5° to 70°):
6.437 Å, I = 286; 3.215 Å, I = 1000; 3.089 Å, I = 214; 2.972 Å, I = 454; 2.784 Å, I = 332; 1.856 Å, I = 355

> Number 7 is which compound?

La6S4N3Cl